No. 1
# KCe2NiS5
Computed X-ray diffraction stick pattern, Cu Kα X-rays. Input: a crystal structure in Alexandria, relaxed with PBE.
Intensities are scaled so that the largest is 100.

```
data_KCe2NiS5
_chemical_formula_sum 'K2 Ce4 Ni2 S10'
_space_group_name_H-M_alt 'I m m m'
_space_group_IT_number 71
_space_group_name_Hall '-I 2 2'
_cell_length_a 4.423
_cell_length_b 6.962
_cell_length_c 13.413
_cell_angle_alpha 90.00
_cell_angle_beta 90.00
_cell_angle_gamma 90.00
loop_
_atom_site_label
_atom_site_fract_x
_atom_site_fract_y
_atom_site_fract_z
K1 0.000 0.000 0.000
Ce1 0.000 0.500 0.199
Ni1 0.000 0.000 0.500
S1 0.000 0.238 0.355
S2 0.000 0.500 0.000
```

Most intense lines, 15 to 90 degrees two-theta, sorted by position:
Position (°2θ)  I (rel.)
23.7  26
23.8  31
25.6  27
27.3  100
35.9  32
37.2  28
38.6  53
40.8  29



No. 2
# La6ZnSb15
Computed X-ray diffraction stick pattern, Cu Kα X-rays. Input: a crystal structure in Alexandria, relaxed with PBE.
Intensities are scaled so that the largest is 100.

```
data_La6ZnSb15
_chemical_formula_sum 'La12 Zn2 Sb30'
_space_group_name_H-M_alt 'C 1 m 1'
_space_group_IT_number 8
_cell_length_a 16.245
_cell_length_b 19.732
_cell_length_c 4.344
_cell_angle_alpha 90.00
_cell_angle_beta 105.47
_cell_angle_gamma 90.00
loop_
_space_group_symop_operation_xyz
'x,y,z'
'x,-y,z'
'x+1/2,y+1/2,z'
'x+1/2,-y+1/2,z'
loop_
_atom_site_label
_atom_site_fract_x
_atom_site_fract_y
_atom_site_fract_z
La1 0.000 0.133 0.000
La2 0.132 0.327 0.132
La3 0.273 0.137 0.273
Zn1 0.379 0.500 0.880
Sb1 0.021 0.500 0.019
Sb2 0.135 0.201 0.635
Sb3 0.147 0.000 0.147
Sb4 0.205 0.500 0.206
Sb5 0.275 0.392 0.775
Sb6 0.282 0.000 0.782
Sb7 0.349 0.301 0.350
Sb8 0.420 0.204 0.919
Sb9 0.485 0.109 0.484
Sb10 0.486 0.500 0.487
```

Most intense lines, 15 to 90 degrees two-theta, sorted by position:
Position (°2θ)  I (rel.)
24.5  21
27.1  18
28.2  27
29.1  15
30.6  68
33.7  100
41.6  30
43.4  17



No. 3
# Tb3Nd7Sm2
Computed X-ray diffraction stick pattern, Cu Kα X-rays. Input: a crystal structure in Alexandria, relaxed with PBE.
Intensities are scaled so that the largest is 100.

```
data_Tb3Nd7Sm2
_chemical_formula_sum 'Tb3 Nd7 Sm2'
_space_group_name_H-M_alt 'P 1 2/m 1'
_space_group_IT_number 10
_cell_length_a 5.940
_cell_length_b 3.642
_cell_length_c 19.178
_cell_angle_alpha 90.00
_cell_angle_beta 93.52
_cell_angle_gamma 90.00
loop_
_space_group_symop_operation_xyz
'x,y,z'
'-x,-y,-z'
'-x,y,-z'
'x,-y,z'
loop_
_atom_site_label
_atom_site_fract_x
_atom_site_fract_y
_atom_site_fract_z
Tb1 0.000 0.000 0.000
Tb2 0.284 0.500 0.632
Nd1 0.176 0.500 0.144
Nd2 0.242 0.000 0.464
Nd3 0.321 0.000 0.819
Nd4 0.500 0.500 0.000
Sm1 0.205 0.000 0.297
```

Most intense lines, 15 to 90 degrees two-theta, sorted by position:
Position (°2θ)  I (rel.)
28.0  29
30.2  66
30.6  100
30.9  34
31.0  44
31.7  30
32.7  37
33.9  34



No. 4
# Pr2Y4Mg
Computed X-ray diffraction stick pattern, Cu Kα X-rays. Input: a crystal structure in Alexandria, relaxed with PBE.
Intensities are scaled so that the largest is 100.

```
data_Pr2Y4Mg
_chemical_formula_sum 'Pr4 Y8 Mg2'
_space_group_name_H-M_alt 'P 1 21/c 1'
_space_group_IT_number 14
_cell_length_a 6.443
_cell_length_b 12.308
_cell_length_c 6.566
_cell_angle_alpha 90.00
_cell_angle_beta 116.00
_cell_angle_gamma 90.00
loop_
_space_group_symop_operation_xyz
'x,y,z'
'-x,-y,-z'
'-x,y+1/2,-z+1/2'
'x,-y+1/2,z+1/2'
loop_
_atom_site_label
_atom_site_fract_x
_atom_site_fract_y
_atom_site_fract_z
Pr1 0.213 0.061 0.431
Y1 0.081 0.166 0.869
Y2 0.409 0.728 0.168
Mg1 0.500 0.000 0.000
```

Most intense lines, 15 to 90 degrees two-theta, sorted by position:
Position (°2θ)  I (rel.)
16.7  52
26.6  77
28.7  42
31.2  67
31.8  49
32.5  65
33.3  100
34.0  39